[1]
RbMnH2OF4: computed XRD peak list (a wavelength of 1.5418 Å), based on a PBE+U-relaxed structure.

Largest 10 diffraction maxima, low angle first, 10 to 90 degrees two-theta:
18.61 deg, I 47; 23.55 deg, I 41; 26.68 deg, I 44; 26.85 deg, I 100; 28.01 deg, I 38; 30.87 deg, I 34; 33.31 deg, I 34; 38.74 deg, I 58; 39.91 deg, I 28; 57.89 deg, I 30

Crystal structure
a b c (Å): 7.7493 7.7493 10.8738
angles (deg): 102.82 102.82 51.08
Atoms (fractional coordinates):
Rb (0.1647, 0.6769, 0.5597)
Rb (0.3231, 0.8353, 0.9403)
Rb (0.6769, 0.1647, 0.0597)
Rb (0.8353, 0.3231, 0.4403)
Mn (0.0000, 0.5000, 0.0000)
Mn (0.2570, 0.7430, 0.2500)
Mn (0.5000, 0.0000, 0.5000)
Mn (0.7430, 0.2570, 0.7500)
H (0.0941, 0.3159, 0.7522)
H (0.2359, 0.4041, 0.8017)
H (0.3159, 0.0941, 0.2522)
H (0.4041, 0.2359, 0.3017)
H (0.5959, 0.7641, 0.6983)
H (0.6841, 0.9059, 0.7478)
H (0.7641, 0.5959, 0.1983)
H (0.9059, 0.6841, 0.2478)
O (0.0908, 0.4387, 0.8053)
O (0.4387, 0.0908, 0.3053)
O (0.5613, 0.9092, 0.6947)
O (0.9092, 0.5613, 0.1947)
F (0.0159, 0.1291, 0.6908)
F (0.1291, 0.0159, 0.1908)
F (0.1442, 0.6445, 0.0647)
F (0.2281, 0.2691, 0.5360)
F (0.2691, 0.2281, 0.0360)
F (0.3555, 0.8558, 0.4353)
F (0.3904, 0.4716, 0.3145)
F (0.4716, 0.3904, 0.8145)
F (0.5284, 0.6096, 0.1855)
F (0.6096, 0.5284, 0.6855)
F (0.6445, 0.1442, 0.5647)
F (0.7309, 0.7719, 0.9640)
F (0.7719, 0.7309, 0.4640)
F (0.8558, 0.3555, 0.9353)
F (0.8709, 0.9841, 0.8092)
F (0.9841, 0.8709, 0.3092)

[2]
MnTl2H2OF5: computed XRD peak list (a wavelength of 1.5418 Å), based on a PBE+U-relaxed structure.

Largest 10 diffraction maxima, low angle first, 10 to 90 degrees two-theta:
17.63 deg, I 58; 20.89 deg, I 38; 24.67 deg, I 38; 27.47 deg, I 55; 30.78 deg, I 100; 35.67 deg, I 36; 42.51 deg, I 22; 43.33 deg, I 31; 46.83 deg, I 18; 57.37 deg, I 22

Crystal structure
a b c (Å): 6.4015 8.5063 6.4260
angles (deg): 90.00 103.18 90.00
Atoms (fractional coordinates):
Mn (0.0000, 0.0000, 0.0000)
Mn (0.0000, 0.5000, 0.0000)
Tl (0.1108, 0.2500, 0.5078)
Tl (0.4925, 0.7500, 0.8906)
Tl (0.5075, 0.2500, 0.1094)
Tl (0.8892, 0.7500, 0.4922)
H (0.3688, 0.6567, 0.3699)
H (0.3688, 0.8433, 0.3699)
H (0.6312, 0.1567, 0.6301)
H (0.6312, 0.3433, 0.6301)
O (0.4430, 0.7500, 0.4457)
O (0.5570, 0.2500, 0.5543)
F (0.0032, 0.2500, 0.0045)
F (0.1882, 0.0004, 0.8116)
F (0.1882, 0.4996, 0.8116)
F (0.2413, 0.0027, 0.2405)
F (0.2413, 0.4973, 0.2405)
F (0.7587, 0.5027, 0.7595)
F (0.7587, 0.9973, 0.7595)
F (0.8118, 0.9996, 0.1884)
F (0.8118, 0.5004, 0.1884)
F (0.9968, 0.7500, 0.9955)

[3]
MnVH4O2F5: computed XRD peak list (a wavelength of 1.5418 Å), based on a PBE+U-relaxed structure.

Largest 10 diffraction maxima, low angle first, 10 to 90 degrees two-theta:
15.55 deg, I 100; 17.56 deg, I 38; 23.80 deg, I 47; 27.55 deg, I 40; 27.76 deg, I 39; 27.99 deg, I 58; 31.39 deg, I 38; 42.46 deg, I 26; 46.69 deg, I 22; 48.71 deg, I 46

Crystal structure
a b c (Å): 7.5559 7.5559 7.5559
angles (deg): 118.01 85.19 127.90
Atoms (fractional coordinates):
Mn (0.0000, 0.0000, 0.0000)
Mn (0.5000, 0.0000, 0.5000)
V (0.5000, 0.0000, 0.0000)
V (0.5000, 0.5000, 0.5000)
H (0.0240, 0.5149, 0.3068)
H (0.0240, 0.7173, 0.5091)
H (0.2918, 0.2827, 0.8068)
H (0.2918, 0.4851, 0.0091)
H (0.7082, 0.5149, 0.9909)
H (0.7082, 0.7173, 0.1932)
H (0.9760, 0.2827, 0.4909)
H (0.9760, 0.4851, 0.6932)
O (0.1265, 0.6970, 0.4294)
O (0.2324, 0.3030, 0.9294)
O (0.7676, 0.6970, 0.0706)
O (0.8735, 0.3030, 0.5706)
F (0.1717, 0.2598, 0.3372)
F (0.1717, 0.8345, 0.9119)
F (0.4226, 0.2598, 0.5881)
F (0.4226, 0.8345, 0.1628)
F (0.4286, 0.6786, 0.7500)
F (0.5714, 0.3214, 0.2500)
F (0.5774, 0.1655, 0.8372)
F (0.5774, 0.7402, 0.4119)
F (0.8283, 0.1655, 0.0881)
F (0.8283, 0.7402, 0.6628)

> Which formula does entry 1 have?

RbMnH2OF4

> Number 2 is which compound?

MnTl2H2OF5